[1]
The following is a computed powder X-ray diffraction pattern of NaMoBr4. It was derived from a crystal structure in Alexandria, relaxed with GGA-PBE, using Cu Kα, 1.54184 Å.
No peak broadening, texture or thermal motion is included.

Largest 10 diffraction maxima, in order of rising 2θ, 2θ from 10° to 90°:
| 2θ/deg | Rel. int. |
| --- | --- |
| 12.2 | 46 |
| 13.3 | 66 |
| 16.5 | 24 |
| 27.1 | 29 |
| 29.9 | 47 |
| 31.4 | 100 |
| 37.0 | 16 |
| 43.3 | 28 |
| 44.6 | 31 |
| 45.9 | 18 |

Cell and atoms:
```
data_NaMoBr4
_cell_length_a 13.462
_cell_length_b 3.950
_cell_length_c 7.384
_cell_angle_alpha 90.00
_cell_angle_beta 99.72
_cell_angle_gamma 90.00
_space_group_name_H-M_alt 'C 1 2/m 1'
_space_group_IT_number 12
_space_group_name_Hall '-C 2y'
loop_
_atom_site_label
_atom_site_fract_x
_atom_site_fract_y
_atom_site_fract_z
_atom_site_occupancy
Na1 0.000 0.000 0.000 1
Mo1 0.000 0.500 0.500 1
Br1 0.112 0.000 0.402 1
Br2 0.112 0.500 0.823 1
```



[2]
The following is a computed powder X-ray diffraction pattern of NaTl2MoBr6. It was derived from a crystal structure in Alexandria, relaxed with GGA-PBE, using Cu Kα, 1.54184 Å.
No peak broadening, texture or thermal motion is included.

Largest 10 diffraction maxima, in order of rising 2θ, 2θ from 10° to 90°:
| 2θ/deg | Rel. int. |
| --- | --- |
| 16.2 | 25 |
| 22.8 | 41 |
| 23.2 | 55 |
| 27.0 | 42 |
| 28.1 | 83 |
| 28.8 | 31 |
| 32.8 | 100 |
| 40.0 | 33 |
| 40.3 | 36 |
| 47.5 | 25 |

Cell and atoms:
```
data_NaTl2MoBr6
_cell_length_a 7.8037
_cell_length_b 7.8037
_cell_length_c 18.5967
_cell_angle_alpha 90.00
_cell_angle_beta 90.00
_cell_angle_gamma 120.00
_space_group_name_H-M_alt 'R 3'
_space_group_IT_number 146
_space_group_name_Hall 'R 3'
loop_
_atom_site_label
_atom_site_fract_x
_atom_site_fract_y
_atom_site_fract_z
_atom_site_occupancy
Na1 0.0000 0.0000 0.0000 1
Tl1 0.0000 0.0000 0.2675 1
Tl2 0.0000 0.0000 0.7728 1
Mo1 0.0000 0.0000 0.4957 1
Br1 0.0240 0.4384 0.2412 1
Br2 0.1050 0.7400 0.0801 1
```



[3]
The following is a computed powder X-ray diffraction pattern of NaTlMo2Br. It was derived from a crystal structure in Alexandria, relaxed with GGA-PBE, using Cu Kα, 1.54184 Å.
No peak broadening, texture or thermal motion is included.

Largest 10 diffraction maxima, in order of rising 2θ, 2θ from 10° to 90°:
| 2θ/deg | Rel. int. |
| --- | --- |
| 14.0 | 83 |
| 16.3 | 94 |
| 21.5 | 29 |
| 28.3 | 49 |
| 32.8 | 100 |
| 35.9 | 34 |
| 36.8 | 30 |
| 43.9 | 58 |
| 47.1 | 49 |
| 68.8 | 31 |

Cell and atoms:
```
data_NaTlMo2Br
_cell_length_a 5.454
_cell_length_b 5.454
_cell_length_c 6.305
_cell_angle_alpha 90.00
_cell_angle_beta 90.00
_cell_angle_gamma 90.00
_space_group_name_H-M_alt 'P 4/m m m'
_space_group_IT_number 123
_space_group_name_Hall '-P 4 2'
loop_
_atom_site_label
_atom_site_fract_x
_atom_site_fract_y
_atom_site_fract_z
_atom_site_occupancy
Na1 0.000 0.000 0.000 1
Tl1 0.500 0.500 0.500 1
Mo1 0.000 0.500 0.500 1
Br1 0.500 0.500 0.000 1
```



[4]
The following is a computed powder X-ray diffraction pattern of Na2TlMoBr8. It was derived from a crystal structure in Alexandria, relaxed with GGA-PBE, using Cu Kα, 1.54184 Å.
No peak broadening, texture or thermal motion is included.

Largest 10 diffraction maxima, in order of rising 2θ, 2θ from 10° to 90°:
| 2θ/deg | Rel. int. |
| --- | --- |
| 13.0 | 49 |
| 13.7 | 33 |
| 18.3 | 47 |
| 19.5 | 28 |
| 27.0 | 100 |
| 30.4 | 55 |
| 36.0 | 50 |
| 37.4 | 30 |
| 40.2 | 21 |
| 44.6 | 41 |

Cell and atoms:
```
data_Na2TlMoBr8
_cell_length_a 6.475
_cell_length_b 8.977
_cell_length_c 6.847
_cell_angle_alpha 90.00
_cell_angle_beta 93.87
_cell_angle_gamma 90.00
_space_group_name_H-M_alt 'P 1 2/m 1'
_space_group_IT_number 10
_space_group_name_Hall '-P 2y'
loop_
_atom_site_label
_atom_site_fract_x
_atom_site_fract_y
_atom_site_fract_z
_atom_site_occupancy
Na1 0.000 0.238 0.000 1
Tl1 0.500 0.500 0.500 1
Mo1 0.500 0.000 0.500 1
Br1 0.195 0.500 0.172 1
Br2 0.267 0.000 0.182 1
Br3 0.279 0.203 0.641 1
```